[1]
This entry pairs a crystal structure of SrTl2HgPd with its calculated powder X-ray diffraction pattern. Radiation: Cu Kα (weighted mean of Kα1 and Kα2). Structure: a structure optimized by DFT (PBE).
Intensities are scaled so that the largest is 1000.

Cell and atoms:
```
SrTl2HgPd
1.0
5.314 0.000 0.000
0.000 5.314 0.000
0.000 0.000 5.822
Sr Tl Hg Pd
1 2 1 1
direct
0.000 0.000 0.000 Sr
0.000 0.500 0.500 Tl
0.500 0.000 0.500 Tl
0.500 0.500 0.000 Hg
0.000 0.000 0.500 Pd
```

Main lines, sorted by position (5 to 70 degrees two-theta):
28.27°, I = 1000
30.71°, I = 385
33.74°, I = 602
46.26°, I = 503
57.05°, I = 291
58.47°, I = 252

***

[2]
This entry pairs a crystal structure of KLi4NbO5 with its calculated powder X-ray diffraction pattern. Radiation: Cu Kα (weighted mean of Kα1 and Kα2). Structure: a structure optimized by DFT (PBE).
Intensities are scaled so that the largest is 1000.

Cell and atoms:
```
KLi4NbO5
1.0
5.840 0.000 0.000
2.919 5.245 0.000
1.537 0.588 8.257
K Li Nb O
2 8 2 10
direct
0.153 0.229 0.422 K
0.847 0.771 0.578 K
0.206 0.383 0.917 Li
0.298 0.608 0.098 Li
0.339 0.999 0.121 Li
0.451 0.663 0.382 Li
0.549 0.337 0.618 Li
0.661 0.001 0.879 Li
0.702 0.392 0.902 Li
0.794 0.617 0.083 Li
0.210 0.930 0.797 Nb
0.790 0.070 0.203 Nb
0.021 0.758 0.956 O
0.136 0.835 0.276 O
0.342 0.178 0.729 O
0.366 0.713 0.625 O
0.498 0.244 0.054 O
0.502 0.756 0.946 O
0.634 0.287 0.375 O
0.658 0.822 0.271 O
0.864 0.165 0.724 O
0.979 0.242 0.044 O
```

Main lines, sorted by position (5 to 70 degrees two-theta):
16.95°, I = 1000
18.87°, I = 625
19.38°, I = 439
21.73°, I = 385
39.33°, I = 382
39.60°, I = 351

***

[3]
This entry pairs a crystal structure of SrZn2Ni2 with its calculated powder X-ray diffraction pattern. Radiation: Cu Kα (weighted mean of Kα1 and Kα2). Structure: a structure optimized by DFT (PBE).
Intensities are scaled so that the largest is 1000.

Cell and atoms:
```
SrZn2Ni2
1.0
0.000 5.281 6.381
2.782 0.000 6.381
2.782 5.281 0.000
Sr Zn Ni
2 4 4
direct
0.125 0.125 0.125 Sr
0.875 0.875 0.875 Sr
0.183 0.567 0.183 Zn
0.433 0.817 0.433 Zn
0.567 0.183 0.567 Zn
0.817 0.433 0.817 Zn
0.272 0.272 0.478 Ni
0.478 0.478 0.272 Ni
0.522 0.522 0.728 Ni
0.728 0.728 0.522 Ni
```

Main lines, sorted by position (5 to 70 degrees two-theta):
19.33°, I = 295
33.95°, I = 431
35.19°, I = 1000
36.87°, I = 860
46.58°, I = 356
46.90°, I = 726

***

[4]
This entry pairs a crystal structure of Tm3GaPd3 with its calculated powder X-ray diffraction pattern. Radiation: Cu Kα (weighted mean of Kα1 and Kα2). Structure: a structure optimized by DFT (PBE).
Intensities are scaled so that the largest is 1000.

Cell and atoms:
```
Tm3GaPd3
1.0
2.033 -5.111 0.000
2.033 5.111 0.000
0.000 0.000 14.116
Tm Ga Pd
6 2 6
direct
0.023 0.977 0.750 Tm
0.298 0.702 0.603 Tm
0.298 0.702 0.897 Tm
0.702 0.298 0.103 Tm
0.702 0.298 0.397 Tm
0.977 0.023 0.250 Tm
0.000 0.000 0.000 Ga
0.000 0.000 0.500 Ga
0.252 0.748 0.250 Pd
0.415 0.585 0.093 Pd
0.415 0.585 0.407 Pd
0.585 0.415 0.593 Pd
0.585 0.415 0.907 Pd
0.748 0.252 0.750 Pd
```

Main lines, sorted by position (5 to 70 degrees two-theta):
30.34°, I = 441
34.34°, I = 534
34.79°, I = 846
38.26°, I = 337
39.47°, I = 1000
44.57°, I = 419